(1)
# Li3Cr2P5O18
Simulated PXRD pattern, Cu Kα. Input: a PBE+U-relaxed structure.

The 10 most intense peaks (10 to 90 degrees two-theta), in order of rising 2θ:
2θ 11.99, I 100, hkl 0 1 -1
2θ 16.46, I 54, hkl 1 0 1
2θ 18.64, I 74, hkl -1 1 1
2θ 19.90, I 95, hkl 0 2 -1
2θ 26.84, I 82, hkl 0 2 2
2θ 27.66, I 93, hkl 2 0 0
2θ 28.26, I 52, hkl 0 1 3
2θ 28.53, I 72, hkl 2 0 -1
2θ 28.94, I 79, hkl 2 -1 0
2θ 31.74, I 54, hkl 0 3 -2

abc: 6.467 9.446 10.514
angles: 95.97 92.64 91.49
Sites, in units of the cell vectors:
1 Li 0.006 0.058 0.368
2 Li 0.132 0.219 0.164
3 Li 0.454 0.726 0.899
4 Li 0.546 0.274 0.101
5 Li 0.868 0.781 0.836
6 Li 0.994 0.942 0.632
7 Cr 0.232 0.360 0.906
8 Cr 0.324 0.777 0.451
9 Cr 0.676 0.223 0.549
10 Cr 0.768 0.640 0.094
11 P 0.170 0.272 0.603
12 P 0.182 0.580 0.674
13 P 0.234 0.024 0.899
14 P 0.273 0.591 0.145
15 P 0.479 0.045 0.299
16 P 0.521 0.955 0.701
17 P 0.727 0.409 0.855
18 P 0.766 0.976 0.101
19 P 0.818 0.420 0.326
20 P 0.830 0.728 0.397
21 O 0.004 0.678 0.697
22 O 0.013 0.820 0.462
23 O 0.038 0.978 0.817
24 O 0.069 0.640 0.081
25 O 0.099 0.431 0.594
26 O 0.189 0.251 0.745
27 O 0.219 0.169 0.982
28 O 0.272 0.427 0.101
29 O 0.280 0.540 0.803
30 O 0.287 0.898 0.972
31 O 0.290 0.633 0.290
32 O 0.310 0.950 0.350
33 O 0.333 0.635 0.581
34 O 0.336 0.922 0.602
35 O 0.369 0.238 0.538
36 O 0.396 0.173 0.242
37 O 0.425 0.057 0.813
38 O 0.461 0.655 0.080
39 O 0.539 0.345 0.920
40 O 0.575 0.943 0.187
41 O 0.604 0.827 0.758
42 O 0.631 0.762 0.462
43 O 0.664 0.078 0.398
44 O 0.667 0.365 0.419
45 O 0.690 0.050 0.650
46 O 0.710 0.367 0.710
47 O 0.713 0.102 0.028
48 O 0.720 0.460 0.197
49 O 0.728 0.573 0.899
50 O 0.781 0.831 0.018
51 O 0.811 0.749 0.255
52 O 0.901 0.569 0.406
53 O 0.931 0.360 0.919
54 O 0.962 0.022 0.183
55 O 0.987 0.180 0.538
56 O 0.996 0.322 0.303

=====

(2)
# CaMnO2
Simulated PXRD pattern, Cu Kα. Input: a PBE+U-relaxed structure.

The 10 most intense peaks (10 to 90 degrees two-theta), in order of rising 2θ:
2θ 19.03, I 3, hkl 0 0 1
2θ 33.22, I 75, hkl 1 0 1
2θ 38.50, I 100, hkl 1 1 0
2θ 38.62, I 50, hkl 0 0 2
2θ 55.65, I 88, hkl 2 0 0
2θ 66.31, I 20, hkl 2 1 1
2θ 66.47, I 10, hkl 1 0 3
2θ 69.73, I 27, hkl 2 0 2
2θ 82.52, I 8, hkl 2 2 0
2θ 82.80, I 4, hkl 0 0 4

abc: 3.307 3.307 4.663
angles: 90.00 90.00 90.00
Sites, in units of the cell vectors:
1 Ca 0.000 0.000 0.000
2 Mn 0.500 0.500 0.500
3 O 0.000 0.000 0.500
4 O 0.500 0.500 0.000

=====

(3)
# Ba2MnP4H6O16
Simulated PXRD pattern, Cu Kα. Input: a PBE+U-relaxed structure.

The 10 most intense peaks (10 to 90 degrees two-theta), in order of rising 2θ:
2θ 18.56, I 81, hkl 0 2 1
2θ 20.14, I 36, hkl 1 0 -2
2θ 23.97, I 64, hkl 1 0 2
2θ 25.45, I 59, hkl 1 1 2
2θ 26.49, I 42, hkl 1 2 -2
2θ 26.73, I 100, hkl 0 3 1
2θ 30.66, I 45, hkl 1 2 -3
2θ 30.96, I 53, hkl 0 1 4
2θ 32.20, I 74, hkl 1 3 1
2θ 33.87, I 47, hkl 2 1 -1

abc: 5.481 10.417 12.203
angles: 90.00 99.81 90.00
Sites, in units of the cell vectors:
1 Ba 0.136 0.149 0.319
2 Ba 0.136 0.351 0.819
3 Ba 0.864 0.649 0.181
4 Ba 0.864 0.851 0.681
5 Mn 0.000 0.000 0.000
6 Mn 0.000 0.500 0.500
7 P 0.235 0.699 0.947
8 P 0.235 0.801 0.447
9 P 0.417 0.009 0.808
10 P 0.417 0.491 0.308
11 P 0.583 0.509 0.692
12 P 0.583 0.991 0.192
13 P 0.765 0.199 0.553
14 P 0.765 0.301 0.053
15 H 0.292 0.537 0.068
16 H 0.292 0.963 0.568
17 H 0.388 0.676 0.752
18 H 0.388 0.824 0.252
19 H 0.426 0.184 0.055
20 H 0.426 0.316 0.555
21 H 0.574 0.684 0.445
22 H 0.574 0.816 0.945
23 H 0.612 0.176 0.748
24 H 0.612 0.324 0.248
25 H 0.708 0.037 0.432
26 H 0.708 0.463 0.932
27 O 0.074 0.721 0.510
28 O 0.074 0.779 0.010
29 O 0.163 0.697 0.821
30 O 0.163 0.803 0.321
31 O 0.181 0.006 0.859
32 O 0.181 0.494 0.359
33 O 0.233 0.552 0.984
34 O 0.233 0.948 0.484
35 O 0.353 0.052 0.119
36 O 0.353 0.448 0.619
37 O 0.374 0.558 0.193
38 O 0.374 0.942 0.693
39 O 0.470 0.158 0.789
40 O 0.470 0.342 0.289
41 O 0.478 0.234 0.520
42 O 0.478 0.266 0.020
43 O 0.522 0.734 0.980
44 O 0.522 0.766 0.480
45 O 0.530 0.658 0.711
46 O 0.530 0.842 0.211
47 O 0.626 0.058 0.307
48 O 0.626 0.442 0.807
49 O 0.647 0.552 0.381
50 O 0.647 0.948 0.881
51 O 0.767 0.052 0.516
52 O 0.767 0.448 0.016
53 O 0.819 0.506 0.641
54 O 0.819 0.994 0.141
55 O 0.837 0.197 0.679
56 O 0.837 0.303 0.179
57 O 0.926 0.221 0.990
58 O 0.926 0.279 0.490